Y6CoSe5: simulated X-ray powder pattern (λ = 1.5418 Å (Cu Kα)), based on a structure optimized by DFT (PBE).
Neutral-atom scattering factors, no anomalous dispersion.

Peak list (10 most intense, 15 to 90 degrees two-theta, sorted by position)
(2 0 -2), 2.899 Å, 30.84 deg, I 100.0
(3 3 -1), 2.053 Å, 44.11 deg, I 34.1
(1 3 -3), 2.046 Å, 44.26 deg, I 34.7
(2 6 -2), 1.676 Å, 54.79 deg, I 16.8
(0 0 4), 1.668 Å, 55.05 deg, I 5.8
(2 6 2), 1.448 Å, 64.33 deg, I 6.5
(3 3 -5), 1.297 Å, 72.94 deg, I 12.7
(0 6 4), 1.294 Å, 73.14 deg, I 8.6
(4 6 -4), 1.185 Å, 81.16 deg, I 5.9
(1 9 -3), 1.184 Å, 81.29 deg, I 5.8

Atomic structure:
```
data_Y6CoSe5
_cell_length_a 7.1191
_cell_length_b 12.3085
_cell_length_c 7.0878
_cell_angle_alpha 90.00
_cell_angle_beta 109.71
_cell_angle_gamma 90.00
_symmetry_space_group_name_H-M 'C 1 2/m 1'
_symmetry_Int_Tables_number 12
loop_
_symmetry_equiv_pos_as_xyz
'x,y,z'
'-x,-y,-z'
'-x,y,-z'
'x,-y,z'
'x+1/2,y+1/2,z'
'-x+1/2,-y+1/2,-z'
'-x+1/2,y+1/2,-z'
'x+1/2,-y+1/2,z'
loop_
_atom_site_label
_atom_site_type_symbol
_atom_site_fract_x
_atom_site_fract_y
_atom_site_fract_z
_atom_site_occupancy
Y1 Y 0.2271 0.0000 0.2647 1
Y2 Y 0.2282 0.1529 0.7300 1
Co1 Co 0.0000 0.0000 0.5000 1
Se1 Se 0.0000 0.1772 0.0000 1
Se2 Se 0.0000 0.3348 0.5000 1
Se3 Se 0.0000 0.5000 0.0000 1
```